# CsAg3Br6
Simulated powder diffraction line list, Cu Kα (weighted mean of Kα1 and Kα2). Input: a crystal structure in Alexandria, relaxed with GGA-PBE.
Intensities are scaled so that the largest is 100.

Crystal structure
```
10
Lattice="7.357 0.000 0.000 -3.463 6.604 0.000 -2.938 -2.508 6.788" Properties=species:S:1:pos:R:3 pbc="T T T"
Cs 0.000 0.000 0.000
Ag -2.980 2.284 4.525
Ag 0.585 0.020 4.636
Ag 0.523 4.306 1.799
Br -1.646 0.132 3.345
Br -1.812 4.457 3.217
Br 0.092 6.255 0.146
Br 2.249 3.338 0.057
Br 1.610 2.618 3.387
Br 2.739 0.563 5.932
```

Peak list (8 most intense, 10° ≤ 2θ ≤ 90°, in order of falling intensity)
h k l	d/Å	two_theta	I (rel.)
1 1 -1	3.832	23.21	100
0 2 1	2.510	35.78	90
0 1 1	3.946	22.54	90
2 -2 0	3.120	28.61	89
0 2 -2	2.827	31.65	86
2 -1 0	3.392	26.28	86
2 -1 1	2.652	33.80	82
2 0 -1	3.245	27.49	78